Starting from a cell relaxed with PBE, the powder X-ray diffraction pattern of Ba2AcCu9 was simulated for copper Kα.

Peak list (10 most intense, 15° ≤ 2θ ≤ 90°, by angle)
(1 0 7), 2θ 30.39, 2.942 Å, I 46
(1 1 0), 2θ 32.35, 2.767 Å, I 47
(0 1 8), 2θ 33.23, 2.696 Å, I 25
(0 2 1), 2θ 37.69, 2.387 Å, I 37
(1 1 6), 2θ 38.57, 2.334 Å, I 100
(0 0 12), 2θ 41.53, 2.175 Å, I 19
(2 1 7), 2θ 56.48, 1.629 Å, I 15
(0 3 6), 2θ 61.87, 1.500 Å, I 25
(2 0 14), 2θ 63.20, 1.471 Å, I 19
(2 2 0), 2θ 67.72, 1.384 Å, I 20

Cell and atoms:
```
data_Ba2AcCu9
_symmetry_space_group_name_H-M 'R -3 m'
_symmetry_Int_Tables_number 166
_symmetry_space_group_name_Hall '-R 3 2"'
_cell_length_a 5.5349
_cell_length_b 5.5349
_cell_length_c 26.0809
_cell_angle_alpha 90.00
_cell_angle_beta 90.00
_cell_angle_gamma 120.00
loop_
_atom_site_label
_atom_site_type_symbol
_atom_site_fract_x
_atom_site_fract_y
_atom_site_fract_z
Ba1 Ba 0.0000 0.0000 0.1449
Ac1 Ac 0.0000 0.0000 0.0000
Cu1 Cu 0.0000 0.0000 0.3289
Cu2 Cu 0.0000 0.0000 0.5000
Cu3 Cu 0.0209 0.5104 0.0756
```

---

Starting from a cell relaxed with PBE, the powder X-ray diffraction pattern of BaAcCu10 was simulated for copper Kα.

Peak list (10 most intense, 15° ≤ 2θ ≤ 90°, by angle)
(1 1 1), 2θ 29.24, 3.054 Å, I 49
(1 0 2), 2θ 29.40, 3.038 Å, I 24
(0 1 3), 2θ 33.14, 2.703 Å, I 35
(0 2 2), 2θ 38.12, 2.361 Å, I 39
(0 0 4), 2θ 38.62, 2.331 Å, I 18
(1 2 0), 2θ 39.88, 2.260 Å, I 51
(1 1 3), 2θ 40.25, 2.241 Å, I 100
(2 0 0), 2θ 45.28, 2.003 Å, I 33
(2 2 2), 2θ 60.63, 1.527 Å, I 19
(1 3 3), 2θ 63.51, 1.465 Å, I 25

Cell and atoms:
```
data_BaAcCu10
_symmetry_space_group_name_H-M 'P m m m'
_symmetry_Int_Tables_number 47
_symmetry_space_group_name_Hall '-P 2 2'
_cell_length_a 4.0052
_cell_length_b 5.4761
_cell_length_c 9.3247
_cell_angle_alpha 90.00
_cell_angle_beta 90.00
_cell_angle_gamma 90.00
loop_
_atom_site_label
_atom_site_type_symbol
_atom_site_fract_x
_atom_site_fract_y
_atom_site_fract_z
Ba1 Ba 0.0000 0.0000 0.0000
Ac1 Ac 0.0000 0.5000 0.5000
Cu1 Cu 0.0000 0.0000 0.3363
Cu2 Cu 0.0000 0.5000 0.1686
Cu3 Cu 0.5000 0.0000 0.5000
Cu4 Cu 0.5000 0.2557 0.2576
Cu5 Cu 0.5000 0.5000 0.0000
```

---

Starting from a cell relaxed with PBE, the powder X-ray diffraction pattern of Ba2AcCu3O6 was simulated for copper Kα.

Peak list (10 most intense, 15° ≤ 2θ ≤ 90°, by angle)
(1 0 0), 2θ 22.33, 3.981 Å, I 16
(1 0 3), 2θ 31.37, 2.852 Å, I 100
(1 1 0), 2θ 31.79, 2.815 Å, I 53
(1 0 4), 2θ 37.01, 2.429 Å, I 15
(1 1 3), 2θ 38.85, 2.318 Å, I 16
(0 0 6), 2θ 44.33, 2.044 Å, I 10
(2 0 0), 2θ 45.58, 1.990 Å, I 27
(1 1 6), 2θ 55.57, 1.654 Å, I 16
(2 1 3), 2θ 56.37, 1.632 Å, I 38
(2 0 6), 2θ 65.46, 1.426 Å, I 11

Cell and atoms:
```
data_Ba2AcCu3O6
_symmetry_space_group_name_H-M 'P 4/m m m'
_symmetry_Int_Tables_number 123
_symmetry_space_group_name_Hall '-P 4 2'
_cell_length_a 3.9808
_cell_length_b 3.9808
_cell_length_c 12.2616
_cell_angle_alpha 90.00
_cell_angle_beta 90.00
_cell_angle_gamma 90.00
loop_
_atom_site_label
_atom_site_type_symbol
_atom_site_fract_x
_atom_site_fract_y
_atom_site_fract_z
Ba1 Ba 0.0000 0.0000 0.1903
Ac1 Ac 0.0000 0.0000 0.5000
Cu1 Cu 0.5000 0.5000 0.0000
Cu2 Cu 0.5000 0.5000 0.3466
O1 O 0.0000 0.5000 0.3629
O2 O 0.5000 0.5000 0.1473
```